[1]
The following is a simulated powder X-ray diffraction pattern of K2C. It was derived from the GGA-PBE geometry in the Materials Project, using Cu Kα, 1.54184 Å.

Structure:
abc: 5.087 5.087 5.087
angles: 60.00 60.00 60.00
Fractional positions:
K 0.250 0.250 0.250
K 0.750 0.750 0.750
C 0.000 0.000 0.000

Peak list (10 most intense, 2θ from 10° to 90°, by angle)
2theta	I_rel
21.39	5
24.75	78
35.29	100
43.58	21
50.76	15
57.27	25
63.33	28
74.63	8
80.02	11
85.33	11



[2]
The following is a simulated powder X-ray diffraction pattern of Mg14SnW. It was derived from the GGA-PBE geometry in the Materials Project, using Cu Kα, 1.54184 Å.

Structure:
abc: 6.267 6.267 10.197
angles: 90.00 90.00 120.00
Fractional positions:
Mg 0.000 0.000 0.249
Mg 0.000 0.000 0.751
Mg 0.011 0.506 0.239
Mg 0.011 0.506 0.761
Mg 0.333 0.167 0.000
Mg 0.334 0.167 0.500
Mg 0.494 0.506 0.239
Mg 0.494 0.506 0.761
Mg 0.494 0.989 0.239
Mg 0.494 0.989 0.761
Mg 0.833 0.167 0.000
Mg 0.833 0.167 0.500
Mg 0.833 0.666 0.500
Mg 0.833 0.667 0.000
Sn 0.333 0.667 0.500
W 0.333 0.667 0.000

Peak list (10 most intense, 2θ from 10° to 90°, by angle)
2theta	I_rel
16.33	73
17.39	20
23.95	55
33.01	32
33.57	25
35.20	25
37.54	100
47.79	21
49.03	21
64.72	19



[3]
The following is a simulated powder X-ray diffraction pattern of Ho3Ga8Rh3. It was derived from the GGA-PBE geometry in the Materials Project, using Cu Kα, 1.54184 Å.

Structure:
abc: 8.151 8.151 8.151
angles: 150.17 105.17 82.58
Fractional positions:
Ho 0.000 0.000 0.000
Ho 0.328 0.328 0.000
Ho 0.672 0.672 0.000
Ga 0.037 0.665 0.372
Ga 0.161 0.875 0.286
Ga 0.293 0.665 0.628
Ga 0.411 0.125 0.286
Ga 0.589 0.875 0.714
Ga 0.707 0.335 0.372
Ga 0.839 0.125 0.714
Ga 0.963 0.335 0.628
Rh 0.285 0.500 0.785
Rh 0.500 0.000 0.500
Rh 0.715 0.500 0.215

Peak list (10 most intense, 2θ from 10° to 90°, by angle)
2theta	I_rel
30.55	18
34.57	26
34.95	21
35.64	100
37.65	12
43.11	35
44.38	17
45.84	13
63.59	14
74.18	12



[4]
The following is a simulated powder X-ray diffraction pattern of TaN. It was derived from the GGA-PBE geometry in the Materials Project, using Cu Kα, 1.54184 Å.

Structure:
abc: 2.922 2.922 5.917
angles: 90.00 90.00 120.00
Fractional positions:
Ta 0.000 0.000 0.000
Ta 0.000 0.000 0.500
N 0.333 0.667 0.250
N 0.667 0.333 0.750

Peak list (10 most intense, 2θ from 10° to 90°, by angle)
2theta	I_rel
30.21	45
35.48	96
38.70	1
47.27	100
62.83	7
63.70	22
72.11	24
74.27	24
75.08	11
83.02	20



[5]
The following is a simulated powder X-ray diffraction pattern of Al2O3. It was derived from the GGA-PBE geometry in the Materials Project, using Cu Kα, 1.54184 Å.

Structure:
abc: 5.576 5.604 14.560
angles: 78.94 81.83 60.90
Fractional positions:
Al 0.000 0.000 0.000
Al 0.006 0.362 0.144
Al 0.031 0.512 0.957
Al 0.076 0.076 0.811
Al 0.257 0.609 0.471
Al 0.288 0.177 0.308
Al 0.305 0.802 0.645
Al 0.432 0.232 0.630
Al 0.469 0.470 0.116
Al 0.521 0.967 0.980
Al 0.533 0.463 0.823
Al 0.618 0.955 0.452
Al 0.657 0.595 0.310
Al 0.783 0.773 0.772
Al 0.944 0.267 0.505
Al 0.989 0.842 0.270
O 0.109 0.902 0.544
O 0.122 0.398 0.558
O 0.148 0.046 0.230
O 0.171 0.507 0.215
O 0.189 0.174 0.911
O 0.213 0.691 0.880
O 0.315 0.302 0.055
O 0.328 0.802 0.050
O 0.403 0.462 0.712
O 0.410 0.969 0.735
O 0.432 0.300 0.389
O 0.433 0.810 0.397
O 0.564 0.908 0.575
O 0.589 0.397 0.540
O 0.649 0.937 0.253
O 0.661 0.484 0.206
O 0.707 0.708 0.895
O 0.724 0.156 0.901
O 0.831 0.299 0.058
O 0.854 0.768 0.042
O 0.858 0.439 0.760
O 0.943 0.335 0.378
O 0.957 0.793 0.398
O 0.962 0.955 0.722

Peak list (10 most intense, 2θ from 10° to 90°, by angle)
2theta	I_rel
24.29	81
33.46	77
34.38	100
34.68	75
40.70	73
40.98	95
42.71	76
66.05	92
66.78	70
67.25	73